(1)
Computed PXRD pattern of ErScAl4Pt2 for λ = 1.5418 Å (Cu Kα), from a structure optimized by DFT (GGA-PBE).

Principal peaks in the range 2θ = 10–80°, sorted by position:
- 2θ = 15.59°, I 69
- 2θ = 26.05°, I 78
- 2θ = 26.20°, I 72
- 2θ = 31.48°, I 44
- 2θ = 35.95°, I 61
- 2θ = 36.93°, I 60
- 2θ = 38.66°, I 100
- 2θ = 42.39°, I 45

Structure:
a b c (Å): 22.7371 2.9893 4.2648
angles (deg): 90.00 90.34 90.00
Sites, in units of the cell vectors:
Er  0.0000  0.0000  0.0000
Er  0.5000  0.5000  0.0000
Sc  0.2487  0.5000  0.9661
Sc  0.7487  0.0000  0.9661
Al  0.1285  0.0000  0.9652
Al  0.1944  0.0000  0.4651
Al  0.3672  0.0000  0.9971
Al  0.4357  0.0000  0.4987
Al  0.6285  0.5000  0.9652
Al  0.6944  0.5000  0.4651
Al  0.8672  0.5000  0.9971
Al  0.9357  0.5000  0.4987
Pt  0.0937  0.5000  0.4701
Pt  0.3401  0.5000  0.4940
Pt  0.5937  0.0000  0.4701
Pt  0.8401  0.0000  0.4940

(2)
Computed PXRD pattern of GaPd9 for λ = 1.5418 Å (Cu Kα), from a structure optimized by DFT (GGA-PBE).

Principal peaks in the range 2θ = 10–80°, sorted by position:
- 2θ = 38.19°, I 33
- 2θ = 39.50°, I 100
- 2θ = 40.01°, I 62
- 2θ = 44.40°, I 22
- 2θ = 46.02°, I 41
- 2θ = 46.64°, I 31
- 2θ = 66.37°, I 23
- 2θ = 67.60°, I 25

Structure:
a b c (Å): 2.8160 3.8959 41.4392
angles (deg): 90.00 90.00 90.00
Sites, in units of the cell vectors:
Ga  0.2500  0.2500  0.1850
Ga  0.7500  0.7500  0.8150
Pd  0.2500  0.2500  0.2459
Pd  0.2500  0.2500  0.3141
Pd  0.2500  0.2500  0.3819
Pd  0.2500  0.2500  0.4494
Pd  0.2500  0.2500  0.5168
Pd  0.2500  0.2500  0.5844
Pd  0.2500  0.2500  0.6522
Pd  0.2500  0.2500  0.7206
Pd  0.2500  0.2500  0.7940
Pd  0.7500  0.7500  0.2060
Pd  0.7500  0.7500  0.2794
Pd  0.7500  0.7500  0.3478
Pd  0.7500  0.7500  0.4156
Pd  0.7500  0.7500  0.4832
Pd  0.7500  0.7500  0.5506
Pd  0.7500  0.7500  0.6181
Pd  0.7500  0.7500  0.6859
Pd  0.7500  0.7500  0.7541

(3)
Computed PXRD pattern of Tb2TmAl3CuNi2 for λ = 1.5418 Å (Cu Kα), from a structure optimized by DFT (GGA-PBE).

Principal peaks in the range 2θ = 10–80°, sorted by position:
- 2θ = 22.49°, I 29
- 2θ = 25.64°, I 32
- 2θ = 29.69°, I 37
- 2θ = 34.36°, I 90
- 2θ = 37.56°, I 100
- 2θ = 39.62°, I 30
- 2θ = 55.01°, I 25
- 2θ = 60.17°, I 35

Structure:
a b c (Å): 3.9541 6.9524 6.9524
angles (deg): 120.08 90.00 90.00
Sites, in units of the cell vectors:
Tb  0.0000  0.2099  0.7901
Tb  0.0000  0.7901  0.2099
Tm  0.0000  0.6299  0.6299
Al  0.5000  0.2128  0.4500
Al  0.5000  0.4500  0.2128
Al  0.5000  0.9710  0.9710
Cu  0.0000  0.2130  0.2130
Ni  0.5000  0.5455  0.8735
Ni  0.5000  0.8735  0.5455

(4)
Computed PXRD pattern of SmHo2ErGa2 for λ = 1.5418 Å (Cu Kα), from a structure optimized by DFT (GGA-PBE).

Principal peaks in the range 2θ = 10–80°, sorted by position:
- 2θ = 24.05°, I 16
- 2θ = 33.74°, I 100
- 2θ = 34.79°, I 92
- 2θ = 49.24°, I 35
- 2θ = 61.70°, I 35
- 2θ = 62.38°, I 17
- 2θ = 67.29°, I 27
- 2θ = 73.45°, I 10

Structure:
a b c (Å): 5.1571 5.1571 6.6107
angles (deg): 90.00 90.00 120.00
Sites, in units of the cell vectors:
Sm  0.0000  0.0000  0.0000
Ho  0.6667  0.3333  0.2543
Ho  0.6667  0.3333  0.7457
Er  0.3333  0.6667  0.5000
Ga  0.0000  0.0000  0.5000
Ga  0.3333  0.6667  0.0000

What did the third record say?
Computed PXRD pattern of Tb2TmAl3CuNi2 for λ = 1.5418 Å (Cu Kα), from a structure optimized by DFT (GGA-PBE).

Principal peaks in the range 2θ = 10–80°, sorted by position:
- 2θ = 22.49°, I 29
- 2θ = 25.64°, I 32
- 2θ = 29.69°, I 37
- 2θ = 34.36°, I 90
- 2θ = 37.56°, I 100
- 2θ = 39.62°, I 30
- 2θ = 55.01°, I 25
- 2θ = 60.17°, I 35

Structure:
a b c (Å): 3.9541 6.9524 6.9524
angles (deg): 120.08 90.00 90.00
Sites, in units of the cell vectors:
Tb  0.0000  0.2099  0.7901
Tb  0.0000  0.7901  0.2099
Tm  0.0000  0.6299  0.6299
Al  0.5000  0.2128  0.4500
Al  0.5000  0.4500  0.2128
Al  0.5000  0.9710  0.9710
Cu  0.0000  0.2130  0.2130
Ni  0.5000  0.5455  0.8735
Ni  0.5000  0.8735  0.5455